Record 1
Theoretical powder diffractogram
Compound: Ba2BiPAu
Radiation: a wavelength of 1.5418 Å
Structure: a GGA-PBE-relaxed structure
Neutral-atom scattering factors, no anomalous dispersion.

Most intense lines, 10° ≤ 2θ ≤ 90°, in order of falling intensity:
d_spacing, 2theta, intensity
3.204, 27.8, 100
3.178, 28.1, 59
1.840, 49.5, 42
1.855, 49.1, 26
2.247, 40.1, 23
1.602, 57.5, 16
1.207, 79.4, 13
2.285, 39.4, 12

Crystal structure
Unit cell a=6.3556 b=6.3556 c=4.5693 alpha=90.00 beta=90.00 gamma=90.00
Element x y z (fractional)
1 Ba 0.0000 0.5000 0.0000
2 Ba 0.5000 0.0000 0.0000
3 Bi 0.0000 0.0000 0.5000
4 P 0.5000 0.5000 0.0000
5 Au 0.5000 0.5000 0.5000

Record 2
Theoretical powder diffractogram
Compound: Ba2Bi4PbAu3
Radiation: a wavelength of 1.5418 Å
Structure: a GGA-PBE-relaxed structure
Neutral-atom scattering factors, no anomalous dispersion.

Most intense lines, 10° ≤ 2θ ≤ 90°, in order of falling intensity:
d_spacing, 2theta, intensity
3.109, 28.7, 100
2.536, 35.4, 71
2.353, 38.3, 60
3.215, 27.7, 34
1.553, 59.5, 27
1.793, 50.9, 26
2.239, 40.3, 25
1.426, 65.4, 23

Crystal structure
Unit cell a=5.0712 b=5.0712 c=12.4738 alpha=90.00 beta=90.00 gamma=90.00
Element x y z (fractional)
1 Ba 0.0000 0.5000 0.2422
2 Ba 0.5000 0.0000 0.7578
3 Bi 0.0000 0.0000 0.0000
4 Bi 0.0000 0.5000 0.6492
5 Bi 0.5000 0.0000 0.3508
6 Bi 0.5000 0.5000 0.0000
7 Pb 0.0000 0.0000 0.5000
8 Au 0.0000 0.5000 0.8757
9 Au 0.5000 0.0000 0.1243
10 Au 0.5000 0.5000 0.5000

Record 3
Theoretical powder diffractogram
Compound: Ba2Bi4PdAu3
Radiation: a wavelength of 1.5418 Å
Structure: a GGA-PBE-relaxed structure
Neutral-atom scattering factors, no anomalous dispersion.

Most intense lines, 10° ≤ 2θ ≤ 90°, in order of falling intensity:
d_spacing, 2theta, intensity
2.516, 35.7, 100
3.032, 29.5, 100
2.246, 40.1, 69
3.064, 29.1, 63
1.779, 51.3, 38
1.945, 46.7, 35
1.395, 67.1, 31
4.616, 19.2, 29

Crystal structure
Unit cell a=5.0333 b=5.0333 c=11.5831 alpha=90.00 beta=90.00 gamma=90.00
Element x y z (fractional)
1 Ba 0.0000 0.5000 0.2375
2 Ba 0.5000 0.0000 0.7625
3 Bi 0.0000 0.0000 0.5000
4 Bi 0.0000 0.5000 0.8811
5 Bi 0.5000 0.0000 0.1189
6 Bi 0.5000 0.5000 0.5000
7 Pd 0.5000 0.5000 0.0000
8 Au 0.0000 0.0000 0.0000
9 Au 0.0000 0.5000 0.6377
10 Au 0.5000 0.0000 0.3623

Record 4
Theoretical powder diffractogram
Compound: Ba2Zn4BiAu3
Radiation: a wavelength of 1.5418 Å
Structure: a GGA-PBE-relaxed structure
Neutral-atom scattering factors, no anomalous dispersion.

Most intense lines, 10° ≤ 2θ ≤ 90°, in order of falling intensity:
d_spacing, 2theta, intensity
2.859, 31.3, 100
2.364, 38.1, 84
2.903, 30.8, 66
3.199, 27.9, 48
2.127, 42.5, 44
1.833, 49.7, 35
1.672, 54.9, 29
1.612, 57.2, 27

Crystal structure
Unit cell a=4.7278 b=4.7278 c=11.0318 alpha=90.00 beta=90.00 gamma=90.00
Element x y z (fractional)
1 Ba 0.0000 0.5000 0.2399
2 Ba 0.5000 0.0000 0.7601
3 Zn 0.0000 0.0000 0.0000
4 Zn 0.0000 0.5000 0.6454
5 Zn 0.5000 0.0000 0.3546
6 Zn 0.5000 0.5000 0.0000
7 Bi 0.0000 0.0000 0.5000
8 Au 0.0000 0.5000 0.8839
9 Au 0.5000 0.0000 0.1161
10 Au 0.5000 0.5000 0.5000

Record 5
Theoretical powder diffractogram
Compound: Ba4Au2Br
Radiation: a wavelength of 1.5418 Å
Structure: a GGA-PBE-relaxed structure
Neutral-atom scattering factors, no anomalous dispersion.

Most intense lines, 10° ≤ 2θ ≤ 90°, in order of falling intensity:
d_spacing, 2theta, intensity
3.181, 28.1, 100
2.861, 31.3, 69
2.127, 42.5, 60
4.499, 19.7, 52
2.249, 40.1, 38
2.296, 39.2, 35
8.009, 11.0, 33
5.913, 15.0, 32

Crystal structure
Unit cell a=9.1857 b=9.1857 c=9.1857 alpha=139.48 beta=139.48 gamma=58.65
Element x y z (fractional)
1 Ba 0.0000 0.5000 0.5000
2 Ba 0.2168 0.2168 0.0000
3 Ba 0.5000 0.0000 0.5000
4 Ba 0.7832 0.7832 0.0000
5 Au 0.4118 0.4118 0.0000
6 Au 0.5882 0.5882 0.0000
7 Br 0.0000 0.0000 0.0000

Record 6
Theoretical powder diffractogram
Compound: Ba4Au2Br
Radiation: a wavelength of 1.5418 Å
Structure: a GGA-PBE-relaxed structure
Neutral-atom scattering factors, no anomalous dispersion.

Most intense lines, 10° ≤ 2θ ≤ 90°, in order of falling intensity:
d_spacing, 2theta, intensity
3.533, 25.2, 100
2.382, 37.8, 44
7.989, 11.1, 39
2.749, 32.6, 22
2.635, 34.0, 22
1.975, 46.0, 20
2.328, 38.7, 18
1.520, 60.9, 17

Crystal structure
Unit cell a=16.2128 b=16.2128 c=16.2128 alpha=16.89 beta=16.89 gamma=16.89
Element x y z (fractional)
1 Ba 0.1242 0.1242 0.1242
2 Ba 0.2844 0.2844 0.2844
3 Ba 0.7156 0.7156 0.7156
4 Ba 0.8758 0.8758 0.8758
5 Au 0.4200 0.4200 0.4200
6 Au 0.5800 0.5800 0.5800
7 Br 0.0000 0.0000 0.0000

Record 7
Theoretical powder diffractogram
Compound: Ba2PbAuBr
Radiation: a wavelength of 1.5418 Å
Structure: a GGA-PBE-relaxed structure
Neutral-atom scattering factors, no anomalous dispersion.

Most intense lines, 10° ≤ 2θ ≤ 90°, in order of falling intensity:
d_spacing, 2theta, intensity
3.270, 27.3, 100
6.539, 13.5, 88
2.047, 44.2, 54
3.470, 25.7, 52
2.312, 39.0, 39
1.735, 52.8, 33
2.625, 34.2, 28
2.925, 30.6, 27

Crystal structure
Unit cell a=6.5395 b=6.5395 c=5.2504 alpha=90.00 beta=90.00 gamma=90.00
Element x y z (fractional)
1 Ba 0.0000 0.5000 0.0000
2 Ba 0.5000 0.0000 0.0000
3 Pb 0.0000 0.0000 0.5000
4 Au 0.0000 0.0000 0.0000
5 Br 0.5000 0.5000 0.5000

Record 8
Theoretical powder diffractogram
Compound: Ba4AuSBr2
Radiation: a wavelength of 1.5418 Å
Structure: a GGA-PBE-relaxed structure
Neutral-atom scattering factors, no anomalous dispersion.

Most intense lines, 10° ≤ 2θ ≤ 90°, in order of falling intensity:
d_spacing, 2theta, intensity
3.362, 26.5, 100
3.380, 26.4, 51
2.360, 38.1, 39
2.408, 37.4, 36
1.906, 47.7, 20
2.454, 36.6, 19
2.307, 39.0, 18
8.055, 11.0, 12

Crystal structure
Unit cell a=8.2402 b=4.6147 c=8.4716 alpha=90.00 beta=108.04 gamma=90.00
Element x y z (fractional)
1 Ba 0.2332 0.0000 0.2181
2 Ba 0.2573 0.5000 0.7784
3 Ba 0.7427 0.5000 0.2216
4 Ba 0.7668 0.0000 0.7819
5 Au 0.5000 0.0000 0.0000
6 S 0.0000 0.5000 0.0000
7 Br 0.0000 0.0000 0.5000
8 Br 0.5000 0.5000 0.5000